# MnCoTcGeSe
Computed powder XRD pattern, Cu Kα X-rays. Input: a cell relaxed with PBE.
Peak positions follow from Bragg's law for the DFT cell and can differ from measured ones.

Principal peaks in the range 15 to 90 degrees two-theta, sorted by position:
- 2θ 15.03, rel. 298
- 2θ 24.43, rel. 194
- 2θ 34.35, rel. 158
- 2θ 36.79, rel. 146
- 2θ 39.26, rel. 1000
- 2θ 43.68, rel. 209
- 2θ 44.94, rel. 308
- 2θ 47.05, rel. 558
- 2θ 47.75, rel. 228
- 2θ 57.92, rel. 182

Structural model:
```
MnCoTcGeSe
1.0
8.198 0.000 0.000
0.000 3.184 0.000
-3.037 0.000 5.895
Mn Co Tc Ge Se
2 2 2 2 2
Direct
0.000 0.000 0.000 Mn
0.500 0.500 0.000 Mn
0.321 0.000 0.713 Co
0.821 0.500 0.713 Co
0.326 0.000 0.124 Tc
0.826 0.500 0.124 Tc
0.130 0.500 0.787 Ge
0.630 0.000 0.787 Ge
0.205 0.500 0.367 Se
0.705 0.000 0.367 Se
```


# SrAlSiPd3
Computed powder XRD pattern, Cu Kα X-rays. Input: a cell relaxed with PBE.
Peak positions follow from Bragg's law for the DFT cell and can differ from measured ones.

Principal peaks in the range 15 to 90 degrees two-theta, sorted by position:
- 2θ 29.09, rel. 497
- 2θ 29.55, rel. 1000
- 2θ 32.99, rel. 205
- 2θ 34.11, rel. 889
- 2θ 39.60, rel. 141
- 2θ 40.44, rel. 754
- 2θ 42.25, rel. 205
- 2θ 50.58, rel. 338
- 2θ 54.41, rel. 238
- 2θ 72.03, rel. 145

Structural model:
```
SrAlSiPd3
1.0
3.474 -6.139 0.000
3.474 6.139 0.000
0.000 0.000 5.820
Sr Al Si Pd
2 2 2 6
Direct
0.223 0.777 0.750 Sr
0.777 0.223 0.250 Sr
0.499 0.501 0.750 Al
0.501 0.499 0.250 Al
0.109 0.891 0.250 Si
0.891 0.109 0.750 Si
0.206 0.206 0.000 Pd
0.206 0.206 0.500 Pd
0.300 0.700 0.250 Pd
0.700 0.300 0.750 Pd
0.794 0.794 0.000 Pd
0.794 0.794 0.500 Pd
```